[1]
AlAg9S6: simulated powder diffractogram (copper Kα), based on a crystal structure in the Materials Project, relaxed with PBE.

Peak list (12 most intense, 10° ≤ 2θ ≤ 90°, most intense first)
d [Å]  I (rel.)  h k l
6.393  100.0  1 0 0
2.790  91.2  0 2 2
2.686  75.9  0 1 -2
2.821  72.5  2 2 0
2.497  64.9  1 2 3
3.837  64.0  2 1 1
3.424  60.3  1 -1 1
2.176  57.9  0 3 0
2.591  51.7  2 0 -1
3.300  51.6  2 1 2
2.541  48.2  -1 1 2
4.119  44.3  0 1 -1

Crystal structure
```
data_AlAg9S6
_symmetry_space_group_name_H-M 'P 1'
_symmetry_Int_Tables_number 1
_cell_length_a 7.676
_cell_length_b 7.792
_cell_length_c 7.932
_cell_angle_alpha 63.22
_cell_angle_beta 62.52
_cell_angle_gamma 61.26
loop_
_symmetry_equiv_pos_as_xyz
'x,y,z'
loop_
_atom_site_label
_atom_site_fract_x
_atom_site_fract_y
_atom_site_fract_z
Al1 0.000 0.000 0.000
Ag1 0.172 0.940 0.448
Ag2 0.306 0.304 0.751
Ag3 0.489 0.989 0.540
Ag4 0.503 0.587 0.909
Ag5 0.530 0.938 0.996
Ag6 0.586 0.362 0.283
Ag7 0.731 0.307 0.648
Ag8 0.765 0.678 0.339
Ag9 0.934 0.551 0.985
S1 0.089 0.147 0.664
S2 0.118 0.140 0.107
S3 0.121 0.658 0.100
S4 0.450 0.572 0.495
S5 0.642 0.121 0.127
S6 0.755 0.770 0.723
```

[2]
AlAgS2: simulated powder diffractogram (copper Kα), based on a crystal structure in the Materials Project, relaxed with PBE.

Peak list (12 most intense, 10° ≤ 2θ ≤ 90°, most intense first)
d [Å]  I (rel.)  h k l
2.802  100.0  0 1 1
2.291  60.5  0 1 2
3.066  59.3  1 0 0
1.840  47.0  1 0 3
6.898  36.1  0 0 1
1.770  34.7  1 1 0
1.402  24.1  2 0 2
3.449  18.4  0 0 2
1.496  13.7  2 0 1
1.276  13.4  0 2 3
1.143  11.3  1 2 1
2.299  11.2  0 0 3

Crystal structure
```
data_AlAgS2
_symmetry_space_group_name_H-M 'P 3 m 1'
_symmetry_Int_Tables_number 156
_cell_length_a 3.5403
_cell_length_b 3.5403
_cell_length_c 6.8982
_cell_angle_alpha 90.00
_cell_angle_beta 90.00
_cell_angle_gamma 120.00
loop_
_symmetry_equiv_pos_as_xyz
'x,y,z'
'-y,x-y,z'
'-x+y,-x,z'
'-y,-x,z'
'-x+y,y,z'
'x,x-y,z'
loop_
_atom_site_label
_atom_site_fract_x
_atom_site_fract_y
_atom_site_fract_z
Al1 0.0000 0.0000 0.0000
Ag1 0.3333 0.6667 0.5349
S1 0.3333 0.6667 0.1804
S2 0.6667 0.3333 0.7965
```

[3]
Al5AgS8: simulated powder diffractogram (copper Kα), based on a crystal structure in the Materials Project, relaxed with PBE.

Peak list (12 most intense, 10° ≤ 2θ ≤ 90°, most intense first)
d [Å]  I (rel.)  h k l
3.071  100.0  3 1 1
1.800  94.0  4 4 0
3.601  64.8  2 2 0
1.960  53.5  5 1 1
2.940  37.3  2 2 2
5.880  29.9  1 1 1
2.546  29.3  4 0 0
2.079  23.7  4 2 2
1.326  20.2  5 5 3
2.336  18.0  3 3 1
2.277  17.2  4 2 0
5.092  15.9  2 0 0

Crystal structure
```
data_Al5AgS8
_symmetry_space_group_name_H-M 'F -4 3 m'
_symmetry_Int_Tables_number 216
_symmetry_space_group_name_Hall 'F -4 2 3'
_cell_length_a 10.184
_cell_length_b 10.184
_cell_length_c 10.184
_cell_angle_alpha 90.00
_cell_angle_beta 90.00
_cell_angle_gamma 90.00
loop_
_atom_site_label
_atom_site_fract_x
_atom_site_fract_y
_atom_site_fract_z
Al1 0.000 0.000 0.000
Al2 0.118 0.118 0.382
Ag1 0.250 0.250 0.750
S1 0.113 0.113 0.613
S2 0.133 0.133 0.133
```

[4]
AlAgSe2: simulated powder diffractogram (copper Kα), based on a crystal structure in the Materials Project, relaxed with PBE.

Peak list (12 most intense, 10° ≤ 2θ ≤ 90°, most intense first)
d [Å]  I (rel.)  h k l
3.387  100.0  1 1 2
2.045  46.0  2 0 4
1.807  28.4  3 1 2
2.136  24.9  2 2 0
2.626  16.9  2 1 1
1.215  13.1  4 2 4
1.700  13.0  1 1 6
3.159  11.6  1 0 3
5.309  11.3  1 0 1
1.330  10.1  3 1 6
1.511  7.2  4 0 0
1.165  6.8  2 2 8

Crystal structure
```
data_AlAgSe2
_symmetry_space_group_name_H-M 'I -4 2 d'
_symmetry_Int_Tables_number 122
_symmetry_space_group_name_Hall 'I -4 2bw'
_cell_length_a 6.043
_cell_length_b 6.043
_cell_length_c 11.116
_cell_angle_alpha 90.00
_cell_angle_beta 90.00
_cell_angle_gamma 90.00
loop_
_atom_site_label
_atom_site_fract_x
_atom_site_fract_y
_atom_site_fract_z
Al1 0.000 0.000 0.000
Ag1 0.000 0.000 0.500
Se1 0.214 0.750 0.125
```

[5]
SmAlAg2: simulated powder diffractogram (copper Kα), based on a crystal structure in the Materials Project, relaxed with PBE.

Peak list (12 most intense, 10° ≤ 2θ ≤ 90°, most intense first)
d [Å]  I (rel.)  h k l
2.455  100.0  2 2 0
1.418  34.1  4 2 2
4.010  22.0  1 1 1
1.736  17.0  4 0 0
1.098  15.5  6 2 0
2.094  11.8  3 1 1
1.228  10.6  4 4 0
1.593  5.0  3 3 1
1.174  3.7  5 3 1
1.337  3.7  5 1 1
3.473  1.9  2 0 0
1.553  0.5  4 2 0

Crystal structure
```
data_SmAlAg2
_symmetry_space_group_name_H-M 'F m -3 m'
_symmetry_Int_Tables_number 225
_symmetry_space_group_name_Hall '-F 4 2 3'
_cell_length_a 6.945
_cell_length_b 6.945
_cell_length_c 6.945
_cell_angle_alpha 90.00
_cell_angle_beta 90.00
_cell_angle_gamma 90.00
loop_
_atom_site_label
_atom_site_fract_x
_atom_site_fract_y
_atom_site_fract_z
Sm1 0.000 0.000 0.000
Al1 0.000 0.000 0.500
Ag1 0.250 0.250 0.250
```

[6]
SrAl3Ag: simulated powder diffractogram (copper Kα), based on a crystal structure in the Materials Project, relaxed with PBE.

Peak list (12 most intense, 10° ≤ 2θ ≤ 90°, most intense first)
d [Å]  I (rel.)  h k l
2.894  100.0  1 0 3
2.723  81.0  1 1 2
3.084  53.1  1 1 0
2.181  52.2  2 0 0
2.049  49.7  1 0 5
1.742  43.1  2 1 3
1.493  34.9  2 1 5
5.803  33.8  0 0 2
4.083  27.2  1 0 1
1.342  17.1  3 1 2
1.542  16.9  2 2 0
1.208  13.4  2 0 8

Crystal structure
```
data_SrAl3Ag
_symmetry_space_group_name_H-M 'I 4 m m'
_symmetry_Int_Tables_number 107
_symmetry_space_group_name_Hall 'I 4 -2'
_cell_length_a 4.361
_cell_length_b 4.361
_cell_length_c 11.606
_cell_angle_alpha 90.00
_cell_angle_beta 90.00
_cell_angle_gamma 90.00
loop_
_atom_site_label
_atom_site_fract_x
_atom_site_fract_y
_atom_site_fract_z
Sr1 0.000 0.000 0.000
Al1 0.000 0.000 0.608
Al2 0.000 0.500 0.245
Ag1 0.000 0.000 0.380
```

[7]
Sr2Al5Ag5: simulated powder diffractogram (copper Kα), based on a crystal structure in the Materials Project, relaxed with PBE.

Peak list (12 most intense, 10° ≤ 2θ ≤ 90°, most intense first)
d [Å]  I (rel.)  h k l
2.415  100.0  1 1 3
2.860  35.6  0 1 3
4.511  30.4  1 0 0
2.353  28.1  1 2 0
2.757  27.1  0 2 0
2.256  26.7  2 0 0
1.517  21.7  1 3 3
1.771  14.7  2 1 3
4.832  14.5  0 1 1
1.208  14.5  2 2 6
1.331  13.9  3 1 3
2.130  13.8  1 2 2

Crystal structure
```
data_Sr2Al5Ag5
_symmetry_space_group_name_H-M 'P m m m'
_symmetry_Int_Tables_number 47
_cell_length_a 4.511
_cell_length_b 5.514
_cell_length_c 10.030
_cell_angle_alpha 90.00
_cell_angle_beta 90.00
_cell_angle_gamma 90.00
loop_
_symmetry_equiv_pos_as_xyz
'x,y,z'
'-x,-y,-z'
'-x,-y,z'
'x,y,-z'
'x,-y,-z'
'-x,y,z'
'-x,y,-z'
'x,-y,z'
loop_
_atom_site_label
_atom_site_fract_x
_atom_site_fract_y
_atom_site_fract_z
Sr1 0.000 0.000 0.000
Sr2 0.000 0.500 0.500
Al1 0.500 0.000 0.500
Al2 0.500 0.249 0.248
Ag1 0.000 0.000 0.333
Ag2 0.000 0.500 0.184
Ag3 0.500 0.500 0.000
```

[8]
TbAlAg2: simulated powder diffractogram (copper Kα), based on a crystal structure in the Materials Project, relaxed with PBE.

Peak list (10 most intense, 10° ≤ 2θ ≤ 90°, most intense first)
d [Å]  I (rel.)  h k l
2.428  100.0  2 2 0
1.402  34.0  4 2 2
3.964  24.0  1 1 1
1.717  17.0  4 0 0
2.070  12.8  3 1 1
1.214  10.6  4 4 0
1.575  5.4  3 3 1
1.161  4.1  5 3 1
1.321  4.0  5 1 1
3.433  1.3  2 0 0

Crystal structure
```
data_TbAlAg2
_symmetry_space_group_name_H-M 'F m -3 m'
_symmetry_Int_Tables_number 225
_symmetry_space_group_name_Hall '-F 4 2 3'
_cell_length_a 6.866
_cell_length_b 6.866
_cell_length_c 6.866
_cell_angle_alpha 90.00
_cell_angle_beta 90.00
_cell_angle_gamma 90.00
loop_
_atom_site_label
_atom_site_fract_x
_atom_site_fract_y
_atom_site_fract_z
Tb1 0.000 0.000 0.000
Al1 0.000 0.000 0.500
Ag1 0.250 0.250 0.250
```

[9]
YAl3Ag: simulated powder diffractogram (copper Kα), based on a crystal structure in the Materials Project, relaxed with PBE.

Peak list (12 most intense, 10° ≤ 2θ ≤ 90°, most intense first)
d [Å]  I (rel.)  h k l
2.628  100.0  1 1 2
3.934  47.4  1 0 1
2.806  43.4  1 0 3
1.993  20.7  0 1 5
2.102  17.9  0 2 0
2.093  17.7  2 0 0
2.831  17.2  0 0 4
1.682  16.0  2 0 4
1.592  14.3  1 1 6
1.483  11.3  2 2 0
1.294  10.1  1 3 2
1.289  10.0  3 1 2

Crystal structure
```
data_YAl3Ag
_symmetry_space_group_name_H-M 'I m m 2'
_symmetry_Int_Tables_number 44
_cell_length_a 4.186
_cell_length_b 4.204
_cell_length_c 11.325
_cell_angle_alpha 90.00
_cell_angle_beta 90.00
_cell_angle_gamma 90.00
loop_
_symmetry_equiv_pos_as_xyz
'x,y,z'
'-x,-y,z'
'-x,y,z'
'x,-y,z'
'x+1/2,y+1/2,z+1/2'
'-x+1/2,-y+1/2,z+1/2'
'-x+1/2,y+1/2,z+1/2'
'x+1/2,-y+1/2,z+1/2'
loop_
_atom_site_label
_atom_site_fract_x
_atom_site_fract_y
_atom_site_fract_z
Y1 0.000 0.000 0.000
Al1 0.000 0.000 0.390
Al2 0.000 0.000 0.610
Al3 0.000 0.500 0.750
Ag1 0.000 0.500 0.250
```

[10]
AgAs: simulated powder diffractogram (copper Kα), based on a crystal structure in the Materials Project, relaxed with PBE.

Peak list (12 most intense, 10° ≤ 2θ ≤ 90°, most intense first)
d [Å]  I (rel.)  h k l
2.285  100.0  1 1 1
2.296  52.5  1 0 2
2.496  43.7  2 0 0
2.570  24.6  0 1 1
1.279  19.8  2 1 3
1.397  19.8  3 1 1
1.490  16.7  0 1 3
1.790  16.1  2 1 1
1.244  13.9  1 2 2
2.586  11.3  0 0 2
1.399  10.3  3 0 2
1.273  9.8  2 2 0

Crystal structure
```
data_AgAs
_symmetry_space_group_name_H-M 'P m m a'
_symmetry_Int_Tables_number 51
_cell_length_a 4.991
_cell_length_b 2.961
_cell_length_c 5.173
_cell_angle_alpha 90.00
_cell_angle_beta 90.00
_cell_angle_gamma 90.00
loop_
_symmetry_equiv_pos_as_xyz
'x,y,z'
'-x,-y,-z'
'-x+1/2,-y,z'
'x+1/2,y,-z'
'x+1/2,-y,-z'
'-x+1/2,y,z'
'-x,y,-z'
'x,-y,z'
loop_
_atom_site_label
_atom_site_fract_x
_atom_site_fract_y
_atom_site_fract_z
Ag1 0.250 0.000 0.165
As1 0.250 0.500 0.666
```

[11]
AgAsBr4: simulated powder diffractogram (copper Kα), based on a crystal structure in the Materials Project, relaxed with PBE.

Peak list (12 most intense, 10° ≤ 2θ ≤ 90°, most intense first)
d [Å]  I (rel.)  h k l
2.826  100.0  2 2 0
2.083  64.6  2 2 4
6.826  57.3  0 1 1
3.080  51.3  0 0 4
6.592  36.7  1 0 1
2.050  18.8  0 4 0
1.951  16.9  4 0 0
1.707  15.9  0 4 4
1.648  15.4  4 0 4
3.481  13.8  1 2 1
2.201  13.5  2 3 1
3.635  13.1  1 0 3

Crystal structure
```
data_AgAsBr4
_symmetry_space_group_name_H-M 'I m m a'
_symmetry_Int_Tables_number 74
_symmetry_space_group_name_Hall '-I 2b 2'
_cell_length_a 7.803
_cell_length_b 8.199
_cell_length_c 12.322
_cell_angle_alpha 90.00
_cell_angle_beta 90.00
_cell_angle_gamma 90.00
loop_
_atom_site_label
_atom_site_fract_x
_atom_site_fract_y
_atom_site_fract_z
Ag1 0.000 0.000 0.000
As1 0.250 0.250 0.250
Br1 0.000 0.020 0.256
Br2 0.245 0.250 0.034
```

[12]
K2AgAsBr6: simulated powder diffractogram (copper Kα), based on a crystal structure in the Materials Project, relaxed with PBE.

Peak list (12 most intense, 10° ≤ 2θ ≤ 90°, most intense first)
d [Å]  I (rel.)  h k l
2.737  100.0  4 0 0
5.475  71.1  2 0 0
1.936  69.7  4 4 0
3.161  50.3  2 2 2
2.448  37.1  4 2 0
1.224  29.7  8 4 0
1.580  23.6  4 4 4
1.118  22.9  8 4 4
1.651  20.2  6 2 2
1.825  19.1  6 0 0
1.369  10.7  8 0 0
1.328  10.6  6 4 4

Crystal structure
```
data_K2AgAsBr6
_symmetry_space_group_name_H-M 'F m -3 m'
_symmetry_Int_Tables_number 225
_symmetry_space_group_name_Hall '-F 4 2 3'
_cell_length_a 10.950
_cell_length_b 10.950
_cell_length_c 10.950
_cell_angle_alpha 90.00
_cell_angle_beta 90.00
_cell_angle_gamma 90.00
loop_
_atom_site_label
_atom_site_fract_x
_atom_site_fract_y
_atom_site_fract_z
K1 0.250 0.250 0.250
Ag1 0.000 0.000 0.000
As1 0.000 0.000 0.500
Br1 0.000 0.000 0.256
```

[13]
Na2AgAsBr6: simulated powder diffractogram (copper Kα), based on a crystal structure in the Materials Project, relaxed with PBE.

Peak list (12 most intense, 10° ≤ 2θ ≤ 90°, most intense first)
d [Å]  I (rel.)  h k l
2.717  100.0  4 0 0
5.435  99.8  2 0 0
1.921  70.2  4 4 0
2.430  50.4  4 2 0
3.138  45.7  2 2 2
1.215  30.0  8 4 0
1.812  25.4  6 0 0
1.569  23.7  4 4 4
1.109  23.2  8 4 4
1.639  18.8  6 2 2
1.318  14.1  6 4 4
1.507  11.3  6 4 0

Crystal structure
```
data_Na2AgAsBr6
_symmetry_space_group_name_H-M 'F m -3 m'
_symmetry_Int_Tables_number 225
_symmetry_space_group_name_Hall '-F 4 2 3'
_cell_length_a 10.869
_cell_length_b 10.869
_cell_length_c 10.869
_cell_angle_alpha 90.00
_cell_angle_beta 90.00
_cell_angle_gamma 90.00
loop_
_atom_site_label
_atom_site_fract_x
_atom_site_fract_y
_atom_site_fract_z
Na1 0.250 0.250 0.250
Ag1 0.000 0.000 0.000
As1 0.000 0.000 0.500
Br1 0.000 0.000 0.256
```

[14]
Rb2AgAsBr6: simulated powder diffractogram (copper Kα), based on a crystal structure in the Materials Project, relaxed with PBE.

Peak list (12 most intense, 10° ≤ 2θ ≤ 90°, most intense first)
d [Å]  I (rel.)  h k l
2.756  100.0  4 0 0
1.948  70.6  4 4 0
3.182  61.0  2 2 2
1.232  30.6  8 4 0
3.897  27.1  2 2 0
5.511  26.0  2 0 0
1.662  25.6  6 2 2
1.591  24.1  4 4 4
1.125  23.5  8 4 4
2.465  12.9  4 2 0
2.250  12.0  4 2 2
1.378  11.0  8 0 0

Crystal structure
```
data_Rb2AgAsBr6
_symmetry_space_group_name_H-M 'F m -3 m'
_symmetry_Int_Tables_number 225
_symmetry_space_group_name_Hall '-F 4 2 3'
_cell_length_a 11.022
_cell_length_b 11.022
_cell_length_c 11.022
_cell_angle_alpha 90.00
_cell_angle_beta 90.00
_cell_angle_gamma 90.00
loop_
_atom_site_label
_atom_site_fract_x
_atom_site_fract_y
_atom_site_fract_z
Rb1 0.250 0.250 0.250
Ag1 0.000 0.000 0.000
As1 0.000 0.000 0.500
Br1 0.000 0.000 0.257
```